Entry 1:
Starting from a crystal structure in Alexandria, relaxed with GGA-PBE, the PXRD pattern of ZrNbCo was simulated for Cu Kα.

Top 10 peaks for 2θ = 15–90°, by angle:
d 2.686, rel. 23; d 2.597, rel. 46; d 2.284, rel. 100; d 2.278, rel. 56; d 2.167, rel. 65; d 2.149, rel. 33; d 2.142, rel. 43; d 1.460, rel. 23; d 1.298, rel. 34; d 1.142, rel. 17

Atomic structure:
Unit cell a=5.3714 b=5.3991 c=7.1004 alpha=90.00 beta=90.00 gamma=90.00
Space group Imma (No. 74)
Inequivalent atoms, fractional coordinates:
Zr 0.0000 0.2500 0.1162
Nb 0.0000 0.0000 0.5000
Co 0.2500 0.2500 0.7500


Entry 2:
Starting from a crystal structure in Alexandria, relaxed with GGA-PBE, the PXRD pattern of Nd5Co3 was simulated for Cu Kα.

Top 10 peaks for 2θ = 15–90°, by angle:
d 3.288, rel. 28; d 3.031, rel. 16; d 2.711, rel. 100; d 2.680, rel. 18; d 2.525, rel. 50; d 2.397, rel. 47; d 1.822, rel. 15; d 1.703, rel. 16; d 1.681, rel. 14; d 1.580, rel. 17

Atomic structure:
Unit cell a=7.5797 b=7.5797 c=13.5454 alpha=90.00 beta=90.00 gamma=90.00
Space group P4/ncc (No. 130, origin choice 2)
Inequivalent atoms, fractional coordinates:
Nd 0.0549 0.5942 0.1096
Nd 0.2500 0.2500 0.2140
Co 0.1396 0.6396 0.7500
Co 0.2500 0.2500 0.4979


Entry 3:
Starting from a crystal structure in Alexandria, relaxed with GGA-PBE, the PXRD pattern of Nd3Co2 was simulated for Cu Kα.

Top 10 peaks for 2θ = 15–90°, by angle:
d 3.128, rel. 60; d 2.849, rel. 100; d 2.760, rel. 82; d 2.500, rel. 25; d 2.385, rel. 20; d 2.080, rel. 26; d 2.069, rel. 18; d 2.027, rel. 24; d 1.732, rel. 22; d 1.633, rel. 34

Atomic structure:
Unit cell a=4.0532 b=14.7517 c=4.1602 alpha=90.00 beta=90.00 gamma=90.00
Space group Cmmm (No. 65)
Inequivalent atoms, fractional coordinates:
Nd 0.0000 0.0000 0.0000
Nd 0.0000 0.3525 0.5000
Co 0.0000 0.2133 0.0000